For Nd2Ho2BI5, a GGA-PBE-relaxed structure gives the simulated powder diffractogram in this record (a wavelength of 1.5418 Å).

```
data_Nd2Ho2BI5
_chemical_formula_sum 'Nd4 Ho4 B2 I10'
_symmetry_space_group_name_H-M 'C 1 2/m 1'
_symmetry_Int_Tables_number 12
_cell_length_a 19.4900
_cell_length_b 4.1186
_cell_length_c 8.9193
_cell_angle_alpha 90.00
_cell_angle_beta 102.37
_cell_angle_gamma 90.00
loop_
_symmetry_equiv_pos_as_xyz
'x,y,z'
'-x,-y,-z'
'-x,y,-z'
'x,-y,z'
'x+1/2,y+1/2,z'
'-x+1/2,-y+1/2,-z'
'-x+1/2,y+1/2,-z'
'x+1/2,-y+1/2,z'
loop_
_atom_site_label
_atom_site_fract_x
_atom_site_fract_y
_atom_site_fract_z
_atom_site_occupancy
Nd1 0.0010 0.0000 0.2987 1
Ho1 0.1315 0.5000 0.5656 1
B1 0.0000 0.5000 0.5000 1
I1 0.0000 0.5000 0.0000 1
I2 0.1668 0.0000 0.8271 1
I3 0.1717 0.0000 0.3384 1
```

Largest 6 diffraction maxima, by angle, 2θ = 10–90°:
(0 0 1), 10.15 deg, intensity 33
(6 0 0), 28.12 deg, intensity 40
(1 1 -2), 29.52 deg, intensity 100
(5 1 0), 32.02 deg, intensity 35
(5 1 2), 41.01 deg, intensity 25
(7 1 -2), 41.45 deg, intensity 25